Theoretical powder diffractogram
Compound: U2InNi2
Radiation: Cu Kα, 1.54184 Å
Structure: a PBE-relaxed structure

The 10 most intense peaks (5 to 70 degrees two-theta), in order of rising 2θ:
- 27.8 deg, I 33, hkl 2 1 0
- 29.7 deg, I 15, hkl 1 1 1
- 34.7 deg, I 31, hkl 2 0 1
- 36.9 deg, I 100, hkl 2 1 1
- 39.7 deg, I 38, hkl 3 1 0
- 48.8 deg, I 14, hkl 0 0 2
- 57.1 deg, I 10, hkl 2 1 2
- 58.4 deg, I 16, hkl 4 1 1
- 60.0 deg, I 16, hkl 3 3 1
- 64.7 deg, I 18, hkl 3 1 2

Structure:
a = 7.188 Å, b = 7.188 Å, c = 3.729 Å
α = 90.00°, β = 90.00°, γ = 90.00°
Space group P4/mbm (No. 127)
Symmetry-distinct sites (fractional):
U: 0.163 0.337 0.000 [4 per cell]
In: 0.000 0.000 0.500 [2 per cell]
Ni: 0.132 0.632 0.500 [4 per cell]